# BaZnGa2Ag
Computed powder diffractogram, Cu Ka. Input: a crystal structure in Alexandria, relaxed with PBE.
Peak positions follow from Bragg's law for the DFT cell and can differ from measured ones.

Structure:
abc: 4.7104 4.7104 10.5664
angles: 90.00 90.00 90.00
Fractional positions:
1 Ba 0.0000 0.0000 0.0000
2 Ba 0.5000 0.5000 0.5000
3 Zn 0.0000 0.5000 0.2500
4 Zn 0.5000 0.0000 0.7500
5 Ga 0.0000 0.0000 0.3754
6 Ga 0.0000 0.0000 0.6246
7 Ga 0.5000 0.5000 0.1246
8 Ga 0.5000 0.5000 0.8754
9 Ag 0.0000 0.5000 0.7500
10 Ag 0.5000 0.0000 0.2500

The 10 most intense peaks (10 to 90 degrees two-theta), by angle:
2theta	intensity
31.75	100
38.21	41
43.75	12
47.13	12
50.48	19
55.15	14
59.36	10
62.23	10
65.05	20
84.01	8



# Ba2Zn3Ga4Ag
Computed powder diffractogram, Cu Ka. Input: a crystal structure in Alexandria, relaxed with PBE.
Peak positions follow from Bragg's law for the DFT cell and can differ from measured ones.

Structure:
abc: 4.5501 4.5501 11.1876
angles: 90.00 90.00 90.00
Fractional positions:
1 Ba 0.0000 0.5000 0.2491
2 Ba 0.5000 0.0000 0.7509
3 Zn 0.0000 0.5000 0.8722
4 Zn 0.5000 0.0000 0.1278
5 Zn 0.5000 0.5000 0.5000
6 Ga 0.0000 0.0000 0.0000
7 Ga 0.0000 0.5000 0.6281
8 Ga 0.5000 0.0000 0.3719
9 Ga 0.5000 0.5000 0.0000
10 Ag 0.0000 0.0000 0.5000

The 10 most intense peaks (10 to 90 degrees two-theta), by angle:
2theta	intensity
31.01	59
32.09	100
39.61	56
42.84	15
45.16	23
51.14	28
57.09	15
57.27	18
61.61	18
67.17	24



# Ba2Ag2Ge3
Computed powder diffractogram, Cu Ka. Input: a crystal structure in Alexandria, relaxed with PBE.
Peak positions follow from Bragg's law for the DFT cell and can differ from measured ones.

Structure:
abc: 12.1771 4.5729 7.0996
angles: 90.00 101.97 90.00
Fractional positions:
1 Ba 0.1772 0.0000 0.2285
2 Ba 0.3228 0.5000 0.7715
3 Ba 0.6772 0.5000 0.2285
4 Ba 0.8228 0.0000 0.7715
5 Ag 0.0842 0.0000 0.6954
6 Ag 0.4158 0.5000 0.3046
7 Ag 0.5842 0.5000 0.6954
8 Ag 0.9158 0.0000 0.3046
9 Ge 0.0000 0.5000 0.5000
10 Ge 0.0750 0.5000 0.9012
11 Ge 0.4250 0.0000 0.0988
12 Ge 0.5000 0.0000 0.5000
13 Ge 0.5750 0.0000 0.9012
14 Ge 0.9250 0.5000 0.0988

The 10 most intense peaks (10 to 90 degrees two-theta), by angle:
2theta	intensity
25.29	37
25.65	26
29.80	51
30.09	73
34.47	100
36.39	44
39.41	46
45.60	28
50.37	35
56.65	24



# BaIn2AgGe
Computed powder diffractogram, Cu Ka. Input: a crystal structure in Alexandria, relaxed with PBE.
Peak positions follow from Bragg's law for the DFT cell and can differ from measured ones.

Structure:
abc: 4.6296 4.8560 12.0396
angles: 90.00 90.00 90.00
Fractional positions:
1 Ba 0.0000 0.0000 0.0000
2 Ba 0.5000 0.5000 0.5000
3 In 0.0000 0.0000 0.3782
4 In 0.0000 0.5000 0.2420
5 In 0.5000 0.0000 0.7420
6 In 0.5000 0.5000 0.8782
7 Ag 0.0000 0.5000 0.7330
8 Ag 0.5000 0.0000 0.2330
9 Ge 0.0000 0.0000 0.6079
10 Ge 0.5000 0.5000 0.1079

The 10 most intense peaks (10 to 90 degrees two-theta), by angle:
2theta	intensity
28.86	20
29.46	25
30.53	100
37.02	30
38.91	26
40.28	25
41.87	16
48.00	13
54.79	19
62.74	12



# BaAgGeO4
Computed powder diffractogram, Cu Ka. Input: a crystal structure in Alexandria, relaxed with PBE.
Peak positions follow from Bragg's law for the DFT cell and can differ from measured ones.

Structure:
abc: 6.0425 6.0425 7.1539
angles: 90.00 90.00 112.05
Fractional positions:
1 Ba 0.0000 0.0000 0.0000
2 Ba 0.0000 0.0000 0.5000
3 Ag 0.3230 0.6770 0.7500
4 Ag 0.6770 0.3230 0.2500
5 Ge 0.3711 0.6289 0.2500
6 Ge 0.6289 0.3711 0.7500
7 O 0.2679 0.7321 0.0455
8 O 0.2679 0.7321 0.4545
9 O 0.2692 0.3113 0.2500
10 O 0.3113 0.2692 0.7500
11 O 0.6887 0.7308 0.2500
12 O 0.7308 0.6887 0.7500
13 O 0.7321 0.2679 0.5455
14 O 0.7321 0.2679 0.9545

The 10 most intense peaks (10 to 90 degrees two-theta), by angle:
2theta	intensity
26.40	62
29.63	100
29.84	79
30.71	16
40.93	30
44.13	16
48.65	19
48.79	27
52.16	28
60.28	20



# Ba2AgGe4Pt3
Computed powder diffractogram, Cu Ka. Input: a crystal structure in Alexandria, relaxed with PBE.
Peak positions follow from Bragg's law for the DFT cell and can differ from measured ones.

Structure:
abc: 4.5847 4.5847 10.3575
angles: 90.00 90.00 90.00
Fractional positions:
1 Ba 0.0000 0.5000 0.2460
2 Ba 0.5000 0.0000 0.7540
3 Ag 0.0000 0.0000 0.5000
4 Ge 0.0000 0.0000 0.0000
5 Ge 0.0000 0.5000 0.6296
6 Ge 0.5000 0.0000 0.3704
7 Ge 0.5000 0.5000 0.0000
8 Pt 0.0000 0.5000 0.8816
9 Pt 0.5000 0.0000 0.1184
10 Pt 0.5000 0.5000 0.5000

The 10 most intense peaks (10 to 90 degrees two-theta), by angle:
2theta	intensity
28.86	32
32.46	93
32.59	100
39.30	97
44.80	45
48.21	25
51.86	49
56.80	33
63.88	21
67.01	36



# Ba2Ag4SnGe3
Computed powder diffractogram, Cu Ka. Input: a crystal structure in Alexandria, relaxed with PBE.
Peak positions follow from Bragg's law for the DFT cell and can differ from measured ones.

Structure:
abc: 4.6633 4.6633 11.3501
angles: 90.00 90.00 90.00
Fractional positions:
1 Ba 0.0000 0.5000 0.2404
2 Ba 0.5000 0.0000 0.7596
3 Ag 0.0000 0.0000 0.0000
4 Ag 0.0000 0.5000 0.6409
5 Ag 0.5000 0.0000 0.3591
6 Ag 0.5000 0.5000 0.0000
7 Sn 0.0000 0.0000 0.5000
8 Ge 0.0000 0.5000 0.8769
9 Ge 0.5000 0.0000 0.1231
10 Ge 0.5000 0.5000 0.5000

The 10 most intense peaks (10 to 90 degrees two-theta), by angle:
2theta	intensity
30.42	47
31.38	100
38.61	61
42.01	23
44.38	23
49.93	23
55.76	20
60.26	18
65.39	26
79.00	12



# BaYAgGe2
Computed powder diffractogram, Cu Ka. Input: a crystal structure in Alexandria, relaxed with PBE.
Peak positions follow from Bragg's law for the DFT cell and can differ from measured ones.

Structure:
abc: 5.5936 5.5936 5.5766
angles: 90.00 90.00 90.00
Fractional positions:
1 Ba 0.0000 0.0000 0.0000
2 Y 0.5000 0.5000 0.5000
3 Ag 0.0000 0.0000 0.5000
4 Ge 0.0000 0.5000 0.0000
5 Ge 0.5000 0.0000 0.0000

The 10 most intense peaks (10 to 90 degrees two-theta), by angle:
2theta	intensity
15.85	57
22.49	56
27.65	58
32.00	93
32.10	46
35.94	31
39.52	25
45.94	100
57.10	34
76.13	29



# Ba2Zn4AgGe3
Computed powder diffractogram, Cu Ka. Input: a crystal structure in Alexandria, relaxed with PBE.
Peak positions follow from Bragg's law for the DFT cell and can differ from measured ones.

Structure:
abc: 4.5683 4.5683 10.7772
angles: 90.00 90.00 90.00
Fractional positions:
1 Ba 0.0000 0.5000 0.2452
2 Ba 0.5000 0.0000 0.7548
3 Zn 0.0000 0.0000 0.0000
4 Zn 0.0000 0.5000 0.6288
5 Zn 0.5000 0.0000 0.3712
6 Zn 0.5000 0.5000 0.0000
7 Ag 0.0000 0.0000 0.5000
8 Ge 0.0000 0.5000 0.8706
9 Ge 0.5000 0.0000 0.1294
10 Ge 0.5000 0.5000 0.5000

The 10 most intense peaks (10 to 90 degrees two-theta), by angle:
2theta	intensity
31.69	59
32.31	100
39.45	61
43.75	15
46.59	23
51.46	29
57.02	20
58.82	14
62.65	19
67.08	23



# Ba4Ag2H
Computed powder diffractogram, Cu Ka. Input: a crystal structure in Alexandria, relaxed with PBE.
Peak positions follow from Bragg's law for the DFT cell and can differ from measured ones.

Structure:
abc: 7.7496 8.2061 9.2246
angles: 90.00 107.13 90.00
Fractional positions:
1 Ba 0.0118 0.0089 0.2500
2 Ba 0.0118 0.4911 0.2500
3 Ba 0.4255 0.2500 0.5987
4 Ba 0.4433 0.2500 0.1207
5 Ba 0.5567 0.7500 0.8793
6 Ba 0.5745 0.7500 0.4013
7 Ba 0.9882 0.5089 0.7500
8 Ba 0.9882 0.9911 0.7500
9 Ag 0.2096 0.7500 0.5481
10 Ag 0.2265 0.7500 0.0598
11 Ag 0.7735 0.2500 0.9402
12 Ag 0.7904 0.2500 0.4519
13 H 0.2426 0.2500 0.3083
14 H 0.7574 0.7500 0.6917

The 10 most intense peaks (10 to 90 degrees two-theta), by angle:
2theta	intensity
24.81	69
26.44	98
28.63	80
29.76	100
38.07	20
39.06	28
42.56	27
44.14	20
46.83	24
52.20	22



# Ba3Ag2H
Computed powder diffractogram, Cu Ka. Input: a crystal structure in Alexandria, relaxed with PBE.
Peak positions follow from Bragg's law for the DFT cell and can differ from measured ones.

Structure:
abc: 8.6592 8.6592 9.2692
angles: 90.00 90.00 35.34
Fractional positions:
1 Ba 0.9998 0.0002 0.2500
2 Ba 0.0002 0.9998 0.7500
3 Ba 0.3592 0.3592 0.0000
4 Ba 0.3592 0.3592 0.5000
5 Ba 0.6408 0.6408 0.0000
6 Ba 0.6408 0.6408 0.5000
7 Ag 0.2075 0.2096 0.2500
8 Ag 0.2096 0.2075 0.7500
9 Ag 0.7904 0.7925 0.2500
10 Ag 0.7925 0.7904 0.7500
11 H 0.4996 0.5004 0.2500
12 H 0.5004 0.4996 0.7500

The 10 most intense peaks (10 to 90 degrees two-theta), by angle:
2theta	intensity
26.20	100
28.98	74
30.42	37
32.02	42
34.11	39
37.58	23
38.86	27
45.35	42
51.21	22
52.66	22



# BaAg2SbH
Computed powder diffractogram, Cu Ka. Input: a crystal structure in Alexandria, relaxed with PBE.
Peak positions follow from Bragg's law for the DFT cell and can differ from measured ones.

Structure:
abc: 6.5881 6.5881 7.7090
angles: 90.00 90.00 136.93
Fractional positions:
1 Ba 0.0735 0.9265 0.7500
2 Ba 0.9265 0.0735 0.2500
3 Ag 0.3513 0.6487 0.5615
4 Ag 0.3513 0.6487 0.9385
5 Ag 0.6487 0.3513 0.0615
6 Ag 0.6487 0.3513 0.4385
7 Sb 0.2129 0.7871 0.2500
8 Sb 0.7871 0.2129 0.7500
9 H 0.5000 0.5000 0.0000
10 H 0.5000 0.5000 0.5000

The 10 most intense peaks (10 to 90 degrees two-theta), by angle:
2theta	intensity
28.60	24
30.54	98
30.91	100
31.42	56
37.06	41
37.18	56
37.97	28
40.43	39
49.45	31
55.84	32